This entry pairs a crystal structure of MgMnNi2Sb2 with its calculated PXRD pattern. Radiation: Cu Ka. Structure: a cell relaxed with GGA-PBE.
Lines closer than 0.1° are merged.

Cell lengths 7.5978, 7.5978, 7.5978 Å; angles 33.22, 33.22, 33.22 degrees
Element x y z (fractional)
Mg 0.0000 0.0000 0.0000
Mn 0.4946 0.4946 0.4946
Ni 0.2461 0.2461 0.2461
Ni 0.7495 0.7495 0.7495
Sb 0.1261 0.1261 0.1261
Sb 0.6153 0.6153 0.6153

Largest 10 diffraction maxima, low angle first, 2θ = 15–90°:
two_theta	d_spacing	intensity
24.83	3.586	36
25.08	3.551	100
41.27	2.188	87
41.58	2.172	89
48.76	1.868	13
49.04	1.858	33
49.18	1.853	16
60.02	1.541	28
75.66	1.257	27
75.88	1.254	14